Entry 1:
Calculated XRD peak list
Compound: ZnSn
Radiation: Cu Kα X-rays
Structure: a crystal structure in OQMD, relaxed with PBE

Atomic structure:
Cell lengths 3.3470, 5.0079, 5.3432 Å; angles 90.00, 90.00, 90.00 degrees
Atoms (fractional coordinates):
Zn: 0.2500 0.2500 0.0852
Zn: 0.7500 0.7500 0.9148
Sn: 0.2500 0.7500 0.3744
Sn: 0.7500 0.2500 0.6256

Principal peaks in the range 2θ = 10–80°, in order of rising 2θ:
3.654 Å, 24.36°, I 15.6; 2.836 Å, 31.54°, I 50.8; 2.504 Å, 35.86°, I 44.8; 2.468 Å, 36.40°, I 100.0; 2.357 Å, 38.18°, I 68.8; 1.877 Å, 48.50°, I 30.9; 1.439 Å, 64.80°, I 18.5; 1.391 Å, 67.29°, I 14.3; 1.365 Å, 68.80°, I 24.6; 1.332 Å, 70.75°, I 16.0


Entry 2:
Calculated XRD peak list
Compound: ZnSn4
Radiation: Cu Kα X-rays
Structure: a crystal structure in OQMD, relaxed with PBE

Atomic structure:
Cell lengths 6.8939, 6.8939, 6.5527 Å; angles 90.00, 90.00, 123.18 degrees
Atoms (fractional coordinates):
Zn: 0.2500 0.7500 0.7500
Zn: 0.7500 0.2500 0.2500
Sn: 0.0481 0.2850 0.5759
Sn: 0.2150 0.4519 0.0759
Sn: 0.2850 0.0481 0.0759
Sn: 0.4519 0.2150 0.5759
Sn: 0.5481 0.7850 0.4241
Sn: 0.7150 0.9519 0.9241
Sn: 0.7850 0.5481 0.9241
Sn: 0.9519 0.7150 0.4241

Principal peaks in the range 2θ = 10–80°, in order of rising 2θ:
3.047 Å, 29.31°, I 26.9; 3.032 Å, 29.46°, I 43.0; 2.849 Å, 31.40°, I 56.1; 2.640 Å, 33.95°, I 100.0; 2.373 Å, 37.92°, I 23.8; 2.226 Å, 40.53°, I 48.6; 2.044 Å, 44.33°, I 36.1; 1.664 Å, 55.19°, I 24.4; 1.443 Å, 64.57°, I 29.1; 1.329 Å, 70.89°, I 23.3


Entry 3:
Calculated XRD peak list
Compound: ZrSn2
Radiation: Cu Kα X-rays
Structure: a crystal structure in OQMD, relaxed with PBE

Atomic structure:
Cell lengths 5.5440, 5.5440, 7.7263 Å; angles 90.00, 90.00, 120.00 degrees
Atoms (fractional coordinates):
Zr: 0.0000 0.5000 0.1667
Zr: 0.5000 0.0000 0.5000
Zr: 0.5000 0.5000 0.8333
Sn: 0.1673 0.3345 0.5000
Sn: 0.1673 0.8327 0.8333
Sn: 0.3345 0.1673 0.1667
Sn: 0.6655 0.8327 0.1667
Sn: 0.8327 0.1673 0.8333
Sn: 0.8327 0.6655 0.5000

Principal peaks in the range 2θ = 10–80°, in order of rising 2θ:
2.772 Å, 32.30°, I 14.7; 2.609 Å, 34.37°, I 100.0; 2.575 Å, 34.84°, I 36.2; 2.252 Å, 40.03°, I 66.0; 1.585 Å, 58.22°, I 22.3; 1.567 Å, 58.93°, I 21.5; 1.479 Å, 62.85°, I 17.8; 1.386 Å, 67.59°, I 16.2; 1.350 Å, 69.66°, I 13.2; 1.220 Å, 78.34°, I 21.8


Entry 4:
Calculated XRD peak list
Compound: ZrSn2
Radiation: Cu Kα X-rays
Structure: a crystal structure in OQMD, relaxed with PBE

Atomic structure:
Cell lengths 6.9503, 5.7584, 5.5947 Å; angles 75.48, 53.33, 51.19 degrees
Atoms (fractional coordinates):
Zr: 0.1250 0.1250 0.1250
Zr: 0.8750 0.8750 0.8750
Sn: 0.2064 0.5436 0.2064
Sn: 0.4564 0.7936 0.4564
Sn: 0.5436 0.2064 0.5436
Sn: 0.7936 0.4564 0.7936

Principal peaks in the range 2θ = 10–80°, in order of rising 2θ:
2.694 Å, 33.26°, I 100.0; 2.504 Å, 35.86°, I 40.9; 2.472 Å, 36.35°, I 78.9; 2.144 Å, 42.15°, I 52.4; 1.629 Å, 56.50°, I 22.3; 1.611 Å, 57.19°, I 21.5; 1.530 Å, 60.53°, I 18.2; 1.466 Å, 63.44°, I 15.9; 1.439 Å, 64.76°, I 14.9; 1.221 Å, 78.31°, I 17.7


Entry 5:
Calculated XRD peak list
Compound: Zr2Sn3
Radiation: Cu Kα X-rays
Structure: a crystal structure in OQMD, relaxed with PBE

Atomic structure:
Cell lengths 10.9349, 10.9349, 7.4314 Å; angles 90.00, 90.00, 147.14 degrees
Atoms (fractional coordinates):
Zr: 0.0797 0.9203 0.9444
Zr: 0.0843 0.4157 0.7500
Zr: 0.4157 0.0843 0.2500
Zr: 0.4203 0.5797 0.4444
Zr: 0.5797 0.4203 0.5556
Zr: 0.5843 0.9157 0.7500
Zr: 0.9157 0.5843 0.2500
Zr: 0.9203 0.0797 0.0556
Sn: 0.1218 0.8782 0.5721
Sn: 0.2246 0.7754 0.9248
Sn: 0.2280 0.2720 0.7500
Sn: 0.2720 0.2280 0.2500
Sn: 0.2754 0.7246 0.4248
Sn: 0.3782 0.6218 0.0721
Sn: 0.6218 0.3782 0.9279
Sn: 0.7246 0.2754 0.5752
Sn: 0.7280 0.7720 0.7500
Sn: 0.7720 0.7280 0.2500
Sn: 0.7754 0.2246 0.0752
Sn: 0.8782 0.1218 0.4279

Principal peaks in the range 2θ = 10–80°, in order of rising 2θ:
3.147 Å, 28.36°, I 24.3; 2.755 Å, 32.50°, I 64.8; 2.546 Å, 35.25°, I 50.9; 2.536 Å, 35.40°, I 100.0; 2.473 Å, 36.33°, I 41.1; 2.411 Å, 37.30°, I 57.1; 2.377 Å, 37.85°, I 89.4; 2.316 Å, 38.88°, I 56.8; 1.656 Å, 55.49°, I 27.8; 1.556 Å, 59.39°, I 38.8


Entry 6:
Calculated XRD peak list
Compound: Zr5Sn
Radiation: Cu Kα X-rays
Structure: a crystal structure in OQMD, relaxed with PBE

Atomic structure:
Cell lengths 5.5426, 5.5426, 5.1635 Å; angles 90.00, 90.00, 120.00 degrees
Atoms (fractional coordinates):
Zr: 0.0000 0.3221 0.0000
Zr: 0.3221 0.0000 0.0000
Zr: 0.3333 0.6667 0.5000
Zr: 0.6667 0.3333 0.5000
Zr: 0.6779 0.6779 0.0000
Sn: 0.0000 0.0000 0.5000

Principal peaks in the range 2θ = 10–80°, in order of rising 2θ:
2.771 Å, 32.30°, I 24.0; 2.582 Å, 34.75°, I 26.2; 2.442 Å, 36.81°, I 100.0; 1.889 Å, 48.17°, I 15.4; 1.600 Å, 57.61°, I 17.6; 1.462 Å, 63.64°, I 19.6; 1.360 Å, 69.06°, I 20.2; 1.338 Å, 70.35°, I 14.3; 1.291 Å, 73.34°, I 2.9; 1.221 Å, 78.31°, I 3.6